# NdYHo2P4
Simulated X-ray powder pattern, λ = 1.5418 Å (Cu Kα). Input: DFT lattice parameters and positions (PBE).
No peak broadening, texture or thermal motion is included.

The 10 most intense peaks (2θ from 10° to 90°), in order of rising 2θ:
| two_theta | I (rel.) | index |
| --- | --- | --- |
| 27.03 | 78 | 2 0 0 |
| 31.31 | 100 | 1 1 1 |
| 44.87 | 73 | 0 2 0 |
| 53.16 | 38 | 3 1 1 |
| 55.73 | 25 | 4 0 0 |
| 65.32 | 12 | 2 2 2 |
| 72.04 | 15 | 2 0 4 |
| 74.22 | 32 | 4 2 0 |
| 82.75 | 25 | 4 2 -4 |
| 89.02 | 12 | 0 0 6 |

Atomic structure:
```
data_NdYHo2P4
_chemical_formula_sum 'Nd1 Y1 Ho2 P4'
_cell_length_a 6.9963
_cell_length_b 4.0419
_cell_length_c 6.9970
_cell_angle_alpha 90.00
_cell_angle_beta 109.46
_cell_angle_gamma 90.00
_space_group_name_H-M_alt 'P 1'
_space_group_IT_number 1
loop_
_space_group_symop_operation_xyz
'x,y,z'
loop_
_atom_site_label
_atom_site_fract_x
_atom_site_fract_y
_atom_site_fract_z
Nd1 0.0000 0.0000 0.0000
Y1 0.5000 0.5000 0.0000
Ho1 0.0000 0.5000 0.5000
Ho2 0.5000 0.0000 0.5000
P1 0.2524 0.0000 0.7452
P2 0.2566 0.5000 0.2580
P3 0.7434 0.5000 0.7420
P4 0.7476 0.0000 0.2548
```